LiCoPt3O6: simulated X-ray powder pattern (Cu Ka), based on a DFT-relaxed cell (GGA+U, Alexandria).
Kinematic intensities with the Lorentz-polarization factor, no thermal factor.

Most intense lines, 2θ from 5° to 70°, by angle:
13.13°, rel. 20
13.76°, rel. 20
26.43°, rel. 100
27.72°, rel. 77
34.92°, rel. 87
35.63°, rel. 78
37.34°, rel. 33
39.96°, rel. 29
51.82°, rel. 32
53.33°, rel. 53
54.82°, rel. 30
65.79°, rel. 20

```
data_LiCoPt3O6
_cell_length_a 6.4504
_cell_length_b 3.0381
_cell_length_c 6.7597
_cell_angle_alpha 90.00
_cell_angle_beta 93.74
_cell_angle_gamma 90.00
_symmetry_space_group_name_H-M 'P 1'
_symmetry_Int_Tables_number 1
_symmetry_space_group_name_Hall 'P 1'
loop_
_atom_site_label
_atom_site_type_symbol
_atom_site_fract_x
_atom_site_fract_y
_atom_site_fract_z
_atom_site_occupancy
Li1 Li 0.0000 0.0000 0.0000 1
Co1 Co 0.7694 0.5000 0.2910 1
Pt1 Pt 0.2592 0.5000 0.7466 1
Pt2 Pt 0.2768 0.0000 0.2639 1
Pt3 Pt 0.7461 0.0000 0.7312 1
O1 O 0.2089 0.5000 0.0495 1
O2 O 0.3301 0.5000 0.4604 1
O3 O 0.5660 0.5000 0.8108 1
O4 O 0.5882 0.0000 0.2540 1
O5 O 0.9418 0.5000 0.6713 1
O6 O 0.9593 0.0000 0.2744 1
```